1.
Theoretical powder XRD pattern of Si2O3 for Cu Kα, from a GGA-PBE-relaxed structure.
Kinematic intensities with the Lorentz-polarization factor, no thermal factor.

The 10 most intense peaks (10° ≤ 2θ ≤ 80°), sorted by position:
- 2θ = 11.35°, intensity 79
- 2θ = 12.35°, intensity 62
- 2θ = 19.58°, intensity 44
- 2θ = 20.03°, intensity 100
- 2θ = 22.82°, intensity 87
- 2θ = 23.34°, intensity 25
- 2θ = 24.85°, intensity 84
- 2θ = 25.62°, intensity 24
- 2θ = 26.57°, intensity 57
- 2θ = 26.92°, intensity 25

Crystal structure
```
Si2O3
1.0
10.0376 -4.5348 0.0000
10.0376 4.5348 0.0000
-9.3588 0.0000 10.9245
Si O
20 30
direct
0.1263 0.6537 0.0439
0.1305 0.6654 0.2717
0.2200 0.7685 0.6339
0.2315 0.7800 0.8661
0.2501 0.3940 0.4866
0.2663 0.4021 0.7189
0.3346 0.8695 0.2283
0.3463 0.8737 0.4561
0.3940 0.2501 0.9866
0.4021 0.2663 0.2189
0.5979 0.7337 0.7811
0.6060 0.7499 0.0134
0.6537 0.1263 0.5439
0.6654 0.1305 0.7717
0.7337 0.5979 0.2811
0.7499 0.6060 0.5134
0.7685 0.2200 0.1339
0.7800 0.2315 0.3661
0.8695 0.3346 0.7283
0.8737 0.3463 0.9561
0.0724 0.6794 0.1420
0.1816 0.8184 0.7500
0.2170 0.3873 0.5810
0.2199 0.5853 0.5301
0.2367 0.7543 0.1152
0.2457 0.7633 0.3848
0.2503 0.4615 0.2628
0.2524 0.4478 0.9850
0.2583 0.5884 0.8191
0.3206 0.9276 0.3580
0.3873 0.2170 0.0810
0.4116 0.7417 0.6809
0.4147 0.7801 0.9699
0.4478 0.2524 0.4850
0.4615 0.2503 0.7628
0.5385 0.7497 0.2372
0.5522 0.7476 0.5150
0.5853 0.2199 0.0301
0.5884 0.2583 0.3191
0.6127 0.7830 0.9190
0.6794 0.0724 0.6420
0.7417 0.4116 0.1809
0.7476 0.5522 0.0150
0.7497 0.5385 0.7372
0.7543 0.2367 0.6152
0.7633 0.2457 0.8848
0.7801 0.4147 0.4699
0.7830 0.6127 0.4190
0.8184 0.1816 0.2500
0.9276 0.3206 0.8580
```

***

2.
Theoretical powder XRD pattern of Si3O8 for Cu Kα, from a GGA-PBE-relaxed structure.
Kinematic intensities with the Lorentz-polarization factor, no thermal factor.

The 10 most intense peaks (10° ≤ 2θ ≤ 80°), sorted by position:
- 2θ = 14.49°, intensity 92
- 2θ = 18.53°, intensity 49
- 2θ = 18.72°, intensity 28
- 2θ = 22.59°, intensity 100
- 2θ = 24.18°, intensity 99
- 2θ = 26.71°, intensity 82
- 2θ = 27.81°, intensity 19
- 2θ = 28.44°, intensity 26
- 2θ = 29.24°, intensity 17
- 2θ = 34.89°, intensity 21

Crystal structure
```
Si3O8
1.0
5.1430 0.0000 0.0000
0.0000 10.4070 0.0000
0.0000 0.0000 12.2251
Si O
12 32
direct
0.1314 0.1486 0.1096
0.1355 0.4222 0.0150
0.2190 0.7099 0.0689
0.2810 0.2901 0.5689
0.3645 0.5778 0.5150
0.3686 0.8514 0.6096
0.6314 0.3514 0.8904
0.6355 0.0778 0.9850
0.7190 0.7901 0.9311
0.7810 0.2099 0.4311
0.8645 0.9222 0.4850
0.8686 0.6486 0.3904
0.0084 0.7591 0.9783
0.1587 0.9259 0.5346
0.1609 0.5992 0.4128
0.1671 0.3014 0.0998
0.1759 0.7654 0.1920
0.1969 0.5527 0.0791
0.2151 0.1056 0.2433
0.2156 0.0158 0.7556
0.2844 0.9842 0.2556
0.2849 0.8944 0.7433
0.3031 0.4473 0.5791
0.3241 0.2346 0.6920
0.3329 0.6986 0.5998
0.3391 0.4008 0.9128
0.3413 0.0741 0.0346
0.4916 0.2409 0.4783
0.5084 0.7409 0.0217
0.6587 0.5741 0.4654
0.6609 0.9008 0.5872
0.6671 0.1986 0.9002
0.6759 0.7346 0.8080
0.6969 0.9473 0.9209
0.7151 0.3944 0.7567
0.7156 0.4842 0.2444
0.7844 0.5158 0.7444
0.7849 0.6056 0.2567
0.8031 0.0527 0.4209
0.8241 0.2654 0.3080
0.8329 0.8014 0.4002
0.8391 0.0992 0.0872
0.8413 0.4259 0.9654
0.9916 0.2591 0.5217
```